For Th3MgC3, the PBE geometry in Alexandria gives the simulated X-ray powder pattern in this record (a wavelength of 1.5418 Å).
Peak positions follow from Bragg's law for the DFT cell and can differ from measured ones.

Main lines, by angle (2θ = 10–80°):
| h k l | 2θ/deg | d/Å | I (rel.) |
| --- | --- | --- | --- |
| 1 0 1 | 25.2 | 3.532 | 20 |
| 1 0 2 | 29.9 | 2.989 | 100 |
| 1 1 0 | 33.4 | 2.681 | 47 |
| 2 0 0 | 48.0 | 1.895 | 17 |
| 1 1 4 | 50.7 | 1.800 | 26 |
| 2 1 2 | 57.6 | 1.601 | 34 |

Cell and atoms:
```
data_Th3MgC3
_symmetry_space_group_name_H-M 'P 4/m m m'
_symmetry_Int_Tables_number 123
_symmetry_space_group_name_Hall '-P 4 2'
_cell_length_a 3.7908
_cell_length_b 3.7908
_cell_length_c 9.7167
_cell_angle_alpha 90.00
_cell_angle_beta 90.00
_cell_angle_gamma 90.00
loop_
_atom_site_label
_atom_site_fract_x
_atom_site_fract_y
_atom_site_fract_z
Th1 0.0000 0.0000 0.0000
Th2 0.5000 0.5000 0.2682
Mg1 0.0000 0.0000 0.5000
C1 0.0000 0.0000 0.2627
C2 0.5000 0.5000 0.0000
```